Structure and computed powder diffractogram of CeP2N2O8 (a DFT-relaxed cell (GGA-PBE, the Materials Project); CuKα).
Lines closer than 0.1° are merged.

Structure:
a = 6.871 Å, b = 6.871 Å, c = 18.713 Å
α = 90.00°, β = 90.00°, γ = 90.00°
Space group I4_1/amd (No. 141, origin choice 2)
Inequivalent atoms, fractional coordinates:
Ce 0.000 0.250 0.375 (multiplicity 4)
P 0.000 0.250 0.194 (multiplicity 8)
N 0.000 0.000 0.000 (multiplicity 8)
O 0.000 0.069 0.604 (multiplicity 16)
O 0.000 0.086 0.253 (multiplicity 16)

Peak list (10 most intense, 2θ = 10–80°, sorted by position)
2theta, d [Å], I/Imax
13.73, 6.450, 1000
20.60, 4.312, 88
25.93, 3.436, 306
27.13, 3.287, 263
29.46, 3.032, 239
32.33, 2.769, 93
34.16, 2.625, 152
42.72, 2.117, 78
46.48, 1.954, 96
51.24, 1.783, 138